Simulated powder XRD pattern of Li9Mn2Co5O16 for CuKα, from a DFT-relaxed cell (GGA+U, Alexandria).
No peak broadening, texture or thermal motion is included.

Cell and atoms:
Cell lengths 9.966, 5.690, 10.082 Å; angles 90.00, 109.79, 90.00 degrees
Space group C2/m (No. 12)
Inequivalent atoms, fractional coordinates:
Li 0.000 0.000 0.000 [2 per cell]
Li 0.001 0.247 0.252 [8 per cell]
Li 0.244 0.000 0.253 [4 per cell]
Li 0.250 0.000 0.749 [4 per cell]
Mn 0.250 0.250 0.000 [4 per cell]
Co 0.000 0.000 0.500 [2 per cell]
Co 0.000 0.500 0.000 [2 per cell]
Co 0.000 0.500 0.500 [2 per cell]
Co 0.250 0.250 0.500 [4 per cell]
O 0.120 0.250 0.607 [8 per cell]
O 0.126 0.264 0.110 [8 per cell]
O 0.129 0.000 0.391 [4 per cell]
O 0.129 0.500 0.392 [4 per cell]
O 0.136 0.000 0.886 [4 per cell]
O 0.143 0.500 0.880 [4 per cell]

Largest 10 diffraction maxima, in order of rising 2θ, 2θ = 10–80°:
| index | 2θ (°) | I (rel.) |
| --- | --- | --- |
| 0 0 2 | 18.7 | 100 |
| 4 0 -2 | 36.5 | 15 |
| 2 2 0 | 37.0 | 24 |
| 2 2 -2 | 38.5 | 7 |
| 4 0 -4 | 44.2 | 26 |
| 2 2 2 | 44.8 | 51 |
| 2 2 -4 | 48.7 | 8 |
| 2 2 4 | 59.0 | 9 |
| 2 2 -6 | 64.4 | 13 |
| 6 2 -2 | 65.0 | 14 |